The following is a theoretical X-ray powder pattern of Y3ScSb2. It was derived from a DFT-relaxed cell (GGA-PBE, Alexandria), using λ = 1.5418 Å (Cu Kα).
Kinematic intensities with the Lorentz-polarization factor, no thermal factor.

Principal peaks in the range 5 to 70 degrees two-theta, by angle:
21.1°, intensity 18; 28.6°, intensity 44; 30.6°, intensity 69; 32.2°, intensity 30; 33.5°, intensity 30; 35.9°, intensity 100; 40.3°, intensity 32; 41.4°, intensity 30; 59.2°, intensity 20; 68.9°, intensity 22

Atomic structure:
```
data_Y3ScSb2
_chemical_formula_sum 'Y6 Sc2 Sb4'
_space_group_name_H-M_alt 'I m m m'
_space_group_IT_number 71
_space_group_name_Hall '-I 2 2'
_cell_length_a 4.3575
_cell_length_b 4.4752
_cell_length_c 16.6961
_cell_angle_alpha 90.00
_cell_angle_beta 90.00
_cell_angle_gamma 90.00
loop_
_atom_site_label
_atom_site_type_symbol
_atom_site_fract_x
_atom_site_fract_y
_atom_site_fract_z
Y1 Y 0.0000 0.0000 0.0000
Y2 Y 0.0000 0.5000 0.3227
Sc1 Sc 0.0000 0.0000 0.5000
Sb1 Sb 0.0000 0.5000 0.1350
```